(1)
For Ni2W3N, a structure optimized by DFT (GGA-PBE) gives the theoretical powder diffraction line list in this record (Cu Kα, 1.54184 Å).

Atomic structure:
Lattice parameters (Å, degrees): 6.6785 6.6785 6.6785 90.00 90.00 90.00
Space group P4_132 (No. 213)
Unique sites:
Ni 0.0658 0.0658 0.0658 x8
W 0.0497 0.8750 0.7003 x12
N 0.1250 0.6250 0.8750 x4

The 12 most intense peaks (2θ = 10–90°), in order of rising 2θ:
index	2θ (°)	d (Å)	intensity
1 1 1	23.07	3.856	12
2 1 0	29.92	2.987	17
2 1 1	32.85	2.726	10
2 2 1	40.52	2.226	100
3 1 0	42.82	2.112	59
3 1 1	45.02	2.014	26
4 1 1	58.65	1.574	12
4 2 0	62.16	1.493	9
4 3 0	70.50	1.336	8
4 3 1	72.11	1.310	23
5 2 0	76.87	1.240	19
5 3 1	86.14	1.129	10

=====

(2)
For CsYB4H16, a structure optimized by DFT (GGA-PBE) gives the theoretical powder diffraction line list in this record (Cu Kα, 1.54184 Å).

Atomic structure:
Lattice parameters (Å, degrees): 7.5820 7.5820 18.5600 90.00 90.00 90.00
Space group I4_1/a (No. 88, origin choice 2)
Unique sites:
Cs 0.0000 0.2500 0.1250 x4
Y 0.0000 0.2500 0.6250 x4
B 0.1158 0.0003 0.3034 x16
H 0.0409 0.0294 0.7110 x16
H 0.1120 0.0511 0.5426 x16
H 0.1231 0.0313 0.3691 x16
H 0.1292 0.4248 0.9814 x16

The 12 most intense peaks (2θ = 10–90°), in order of rising 2θ:
index	2θ (°)	d (Å)	intensity
1 1 2	19.12	4.642	100
2 0 0	23.47	3.791	20
2 0 4	30.45	2.936	27
1 1 6	33.44	2.680	29
1 3 2	38.79	2.321	43
2 0 8	45.86	1.979	9
3 1 6	48.01	1.895	18
2 2 8	52.13	1.754	22
4 2 4	57.91	1.592	8
5 1 2	63.36	1.468	15
4 4 4	73.57	1.287	10
4 4 8	83.26	1.160	11